Na5Mn2P2C2O14: computed powder diffractogram (Cu Kα (weighted mean of Kα1 and Kα2)), based on DFT lattice parameters and positions (PBE+U).
Intensities are scaled so that the largest is 100.

Most intense lines, 2θ from 5° to 70°, in order of falling intensity:
| 2θ/deg | I (rel.) | hkl |
| --- | --- | --- |
| 9.79 | 100 | 0 0 2 |
| 33.13 | 72 | 0 2 4 |
| 34.24 | 69 | 2 0 0 |
| 26.45 | 55 | 0 2 0 |
| 48.55 | 43 | 0 2 8 |
| 25.91 | 32 | 1 0 -4 |
| 16.41 | 27 | 0 1 2 |
| 33.19 | 22 | 1 2 2 |

Crystal structure
```
data_Na5Mn2P2C2O14
_chemical_formula_sum 'Na10 Mn4 P4 C4 O28'
_cell_length_a 5.234
_cell_length_b 6.740
_cell_length_c 18.074
_cell_angle_alpha 90.00
_cell_angle_beta 90.64
_cell_angle_gamma 90.00
_symmetry_space_group_name_H-M 'P 1'
_symmetry_Int_Tables_number 1
loop_
_symmetry_equiv_pos_as_xyz
'x,y,z'
loop_
_atom_site_label
_atom_site_type_symbol
_atom_site_fract_x
_atom_site_fract_y
_atom_site_fract_z
Na1 Na 0.232 0.250 0.288
Na2 Na 0.241 0.513 0.125
Na3 Na 0.241 0.987 0.125
Na4 Na 0.246 0.002 0.626
Na5 Na 0.246 0.498 0.626
Na6 Na 0.754 0.502 0.374
Na7 Na 0.754 0.998 0.374
Na8 Na 0.759 0.013 0.875
Na9 Na 0.759 0.487 0.875
Na10 Na 0.768 0.750 0.712
Mn1 Mn 0.219 0.750 0.930
Mn2 Mn 0.220 0.750 0.430
Mn3 Mn 0.780 0.250 0.570
Mn4 Mn 0.781 0.250 0.070
P1 P 0.296 0.250 0.458
P2 P 0.297 0.250 0.961
P3 P 0.703 0.750 0.039
P4 P 0.704 0.750 0.542
C1 C 0.271 0.750 0.288
C2 C 0.274 0.750 0.782
C3 C 0.726 0.250 0.218
C4 C 0.729 0.250 0.712
O1 O 0.052 0.750 0.323
O2 O 0.057 0.750 0.818
O3 O 0.167 0.250 0.534
O4 O 0.182 0.250 0.040
O5 O 0.213 0.062 0.917
O6 O 0.213 0.438 0.917
O7 O 0.221 0.066 0.411
O8 O 0.221 0.434 0.411
O9 O 0.274 0.750 0.711
O10 O 0.280 0.750 0.218
O11 O 0.402 0.750 0.032
O12 O 0.406 0.750 0.530
O13 O 0.473 0.750 0.331
O14 O 0.485 0.750 0.820
O15 O 0.515 0.250 0.180
O16 O 0.527 0.250 0.669
O17 O 0.594 0.250 0.470
O18 O 0.598 0.250 0.968
O19 O 0.720 0.250 0.782
O20 O 0.726 0.250 0.289
O21 O 0.779 0.566 0.589
O22 O 0.779 0.934 0.589
O23 O 0.787 0.562 0.083
O24 O 0.787 0.938 0.083
O25 O 0.818 0.750 0.960
O26 O 0.833 0.750 0.466
O27 O 0.943 0.250 0.182
O28 O 0.948 0.250 0.677
```